Record 1
This entry pairs a crystal structure of Li4VCr3O8 with its computed powder diffraction line list. Radiation: Cu Ka. Structure: a cell relaxed with PBE+U.
Neutral-atom scattering factors, no anomalous dispersion.

Crystal structure
a b c (Å): 5.152 5.164 5.960
angles (deg): 90.03 106.78 99.59
Positions (direct):
Li 0.001 0.255 0.373
Li 0.003 0.250 0.878
Li 0.997 0.750 0.122
Li 0.999 0.745 0.627
V 0.500 0.000 0.500
Cr 0.500 0.000 0.000
Cr 0.500 0.500 0.250
Cr 0.500 0.500 0.750
O 0.273 0.130 0.696
O 0.274 0.131 0.191
O 0.274 0.626 0.444
O 0.276 0.630 0.944
O 0.724 0.370 0.056
O 0.726 0.374 0.556
O 0.726 0.869 0.809
O 0.727 0.870 0.304

Largest 10 diffraction maxima, by intensity, 2θ from 10° to 90°:
| two_theta | intensity |
| --- | --- |
| 18.27 | 100 |
| 42.94 | 84 |
| 35.31 | 41 |
| 62.30 | 23 |
| 62.40 | 22 |
| 56.83 | 16 |
| 36.96 | 15 |
| 65.51 | 14 |
| 47.03 | 12 |
| 78.65 | 10 |

Record 2
This entry pairs a crystal structure of V4O with its computed powder diffraction line list. Radiation: Cu Ka. Structure: a cell relaxed with PBE+U.
Neutral-atom scattering factors, no anomalous dispersion.

Crystal structure
a b c (Å): 4.362 4.362 4.362
angles (deg): 90.00 90.00 90.00
Positions (direct):
V 0.000 0.000 0.000
V 0.000 0.500 0.500
V 0.500 0.000 0.500
V 0.500 0.500 0.000
O 0.500 0.500 0.500

Largest 10 diffraction maxima, by intensity, 2θ from 10° to 90°:
| two_theta | intensity |
| --- | --- |
| 35.65 | 100 |
| 41.40 | 66 |
| 59.99 | 39 |
| 71.78 | 33 |
| 75.51 | 12 |
| 89.98 | 6 |
| 20.36 | 3 |
| 28.95 | 2 |
| 46.56 | 1 |
| 51.31 | 1 |

Record 3
This entry pairs a crystal structure of Li2AlNi3O6 with its computed powder diffraction line list. Radiation: Cu Ka. Structure: a cell relaxed with PBE+U.
Neutral-atom scattering factors, no anomalous dispersion.

Crystal structure
a b c (Å): 5.039 5.039 5.067
angles (deg): 99.65 99.65 119.73
Positions (direct):
Li 0.000 0.000 0.000
Li 0.671 0.329 0.000
Al 0.169 0.831 0.500
Ni 0.340 0.660 0.000
Ni 0.506 0.494 0.500
Ni 0.838 0.162 0.500
O 0.100 0.442 0.264
O 0.250 0.229 0.732
O 0.409 0.059 0.273
O 0.558 0.900 0.736
O 0.771 0.750 0.268
O 0.941 0.591 0.727

Largest 10 diffraction maxima, by intensity, 2θ from 10° to 90°:
| two_theta | intensity |
| --- | --- |
| 43.95 | 100 |
| 43.78 | 50 |
| 18.58 | 42 |
| 63.72 | 42 |
| 23.81 | 35 |
| 37.69 | 28 |
| 63.81 | 28 |
| 37.84 | 28 |
| 20.38 | 24 |
| 21.23 | 19 |

What did the second record say?
This entry pairs a crystal structure of V4O with its computed powder diffraction line list. Radiation: Cu Ka. Structure: a cell relaxed with PBE+U.
Neutral-atom scattering factors, no anomalous dispersion.

Crystal structure
a b c (Å): 4.362 4.362 4.362
angles (deg): 90.00 90.00 90.00
Positions (direct):
V 0.000 0.000 0.000
V 0.000 0.500 0.500
V 0.500 0.000 0.500
V 0.500 0.500 0.000
O 0.500 0.500 0.500

Largest 10 diffraction maxima, by intensity, 2θ from 10° to 90°:
| two_theta | intensity |
| --- | --- |
| 35.65 | 100 |
| 41.40 | 66 |
| 59.99 | 39 |
| 71.78 | 33 |
| 75.51 | 12 |
| 89.98 | 6 |
| 20.36 | 3 |
| 28.95 | 2 |
| 46.56 | 1 |
| 51.31 | 1 |